Structure and computed powder X-ray diffraction pattern of Co3C10ClO9 (a crystal structure in OQMD, relaxed with PBE+U; a wavelength of 1.5418 Å).

Most intense lines, 5° ≤ 2θ ≤ 70°, low angle first:
2θ/deg, Rel. int., hkl
13.46, 52, 1 1 0
13.70, 100, 0 1 -1
13.95, 36, 1 0 1
15.47, 51, 0 0 2
15.66, 35, 1 0 -1
21.77, 23, 1 1 -2
28.02, 15, 1 0 -3
28.41, 16, 1 1 -3
30.98, 33, 2 1 3
31.65, 29, 2 -1 0
32.37, 33, 1 3 1
33.13, 17, 1 2 -3

Cell and atoms:
Cell lengths 7.6197, 8.4544, 11.5657 Å; angles 86.98, 82.02, 67.90 degrees
Space group P-1 (No. 2)
Inequivalent atoms, fractional coordinates:
Co (0.0600, 0.2284, 0.1766) [2 per cell]
Co (0.1627, 0.4225, 0.2721) [2 per cell]
Co (0.3705, 0.1223, 0.2497) [2 per cell]
C (0.0285, 0.0351, 0.1718) [2 per cell]
C (0.0598, 0.4150, 0.6894) [2 per cell]
C (0.1231, 0.2243, 0.3277) [2 per cell]
C (0.1386, 0.2682, 0.0290) [2 per cell]
C (0.1827, 0.6450, 0.8011) [2 per cell]
C (0.2551, 0.5079, 0.1437) [2 per cell]
C (0.2775, 0.4642, 0.3808) [2 per cell]
C (0.3888, 0.9098, 0.2617) [2 per cell]
C (0.4838, 0.8670, 0.8834) [2 per cell]
C (0.4845, 0.8868, 0.6435) [2 per cell]
Cl (0.0189, 0.1783, 0.4575) [2 per cell]
O (0.0007, 0.9097, 0.1702) [2 per cell]
O (0.1897, 0.2943, 0.9335) [2 per cell]
O (0.2044, 0.3052, 0.6626) [2 per cell]
O (0.3090, 0.5663, 0.0604) [2 per cell]
O (0.3451, 0.5672, 0.7841) [2 per cell]
O (0.3492, 0.4939, 0.4540) [2 per cell]
O (0.3865, 0.8642, 0.9692) [2 per cell]
O (0.3871, 0.8956, 0.5732) [2 per cell]
O (0.3950, 0.7714, 0.2736) [2 per cell]